Record 1
# NdDy4Tm15
Calculated XRD peak list, Cu Kα (weighted mean of Kα1 and Kα2). Input: a crystal structure in Alexandria, relaxed with GGA-PBE.

Top 6 peaks for 10° ≤ 2θ ≤ 80°, low angle first:
| h k l | 2θ/deg | I (rel.) |
| --- | --- | --- |
| 1 1 5 | 31.22 | 100.0 |
| 2 0 0 | 36.20 | 50.6 |
| 2 2 0 | 52.13 | 35.9 |
| 3 1 5 | 62.03 | 42.6 |
| 2 2 10 | 65.12 | 12.3 |
| 4 0 0 | 76.84 | 5.7 |

Cell and atoms:
```
data_NdDy4Tm15
_space_group_name_H-M_alt 'P 4/m m m'
_space_group_IT_number 123
_space_group_name_Hall '-P 4 2'
_cell_length_a 4.963
_cell_length_b 4.963
_cell_length_c 24.805
_cell_angle_alpha 90.00
_cell_angle_beta 90.00
_cell_angle_gamma 90.00
loop_
_atom_site_label
_atom_site_type_symbol
_atom_site_fract_x
_atom_site_fract_y
_atom_site_fract_z
Nd1 Nd 0.000 0.000 0.000
Dy1 Dy 0.000 0.000 0.201
Dy2 Dy 0.000 0.000 0.400
Tm1 Tm 0.000 0.500 0.102
Tm2 Tm 0.000 0.500 0.301
Tm3 Tm 0.000 0.500 0.500
Tm4 Tm 0.500 0.500 0.000
Tm5 Tm 0.500 0.500 0.201
Tm6 Tm 0.500 0.500 0.400
```

***

Record 2
# BeFeRe2
Calculated XRD peak list, Cu Kα (weighted mean of Kα1 and Kα2). Input: a crystal structure in Alexandria, relaxed with GGA-PBE.

Top 10 peaks for 10° ≤ 2θ ≤ 80°, low angle first:
| h k l | 2θ/deg | I (rel.) |
| --- | --- | --- |
| 0 0 1 | 13.70 | 54.9 |
| 0 0 2 | 27.60 | 9.9 |
| 1 0 1 | 35.76 | 86.7 |
| 0 0 3 | 41.92 | 23.5 |
| 1 0 2 | 43.43 | 100.0 |
| 1 1 0 | 47.17 | 47.9 |
| 1 1 1 | 49.35 | 9.8 |
| 1 1 3 | 64.92 | 26.1 |
| 1 0 4 | 67.36 | 10.0 |
| 2 0 0 | 68.92 | 15.4 |

Cell and atoms:
```
data_BeFeRe2
_space_group_name_H-M_alt 'P 4 m m'
_space_group_IT_number 99
_cell_length_a 2.725
_cell_length_b 2.725
_cell_length_c 6.465
_cell_angle_alpha 90.00
_cell_angle_beta 90.00
_cell_angle_gamma 90.00
loop_
_space_group_symop_operation_xyz
'x,y,z'
'-y,x,z'
'-x,-y,z'
'y,-x,z'
'-x,y,z'
'y,x,z'
'x,-y,z'
'-y,-x,z'
loop_
_atom_site_label
_atom_site_type_symbol
_atom_site_fract_x
_atom_site_fract_y
_atom_site_fract_z
Be1 Be 0.000 0.000 0.000
Fe1 Fe 0.500 0.500 0.182
Re1 Re 0.000 0.000 0.434
Re2 Re 0.500 0.500 0.753
```

***

Record 3
# LiTl2Cu2Pd5
Calculated XRD peak list, Cu Kα (weighted mean of Kα1 and Kα2). Input: a crystal structure in Alexandria, relaxed with GGA-PBE.

Top 10 peaks for 10° ≤ 2θ ≤ 80°, low angle first:
| h k l | 2θ/deg | I (rel.) |
| --- | --- | --- |
| 1 1 0 | 13.68 | 19.3 |
| 2 0 1 | 29.60 | 25.4 |
| 2 1 1 | 31.21 | 56.4 |
| 3 1 1 | 38.34 | 100.0 |
| 4 1 0 | 40.63 | 57.4 |
| 3 3 0 | 41.86 | 22.4 |
| 3 2 1 | 42.11 | 37.4 |
| 0 0 2 | 45.19 | 32.9 |
| 4 1 2 | 62.37 | 32.4 |
| 6 2 1 | 68.96 | 18.5 |

Cell and atoms:
```
data_LiTl2Cu2Pd5
_space_group_name_H-M_alt 'P 4/m b m'
_space_group_IT_number 127
_space_group_name_Hall '-P 4 2ab'
_cell_length_a 9.155
_cell_length_b 9.155
_cell_length_c 4.013
_cell_angle_alpha 90.00
_cell_angle_beta 90.00
_cell_angle_gamma 90.00
loop_
_atom_site_label
_atom_site_type_symbol
_atom_site_fract_x
_atom_site_fract_y
_atom_site_fract_z
Li1 Li 0.000 0.000 0.000
Tl1 Tl 0.172 0.328 0.000
Cu1 Cu 0.124 0.624 0.000
Pd1 Pd 0.000 0.500 0.500
Pd2 Pd 0.083 0.805 0.500
```

***

Record 4
# PrScCo
Calculated XRD peak list, Cu Kα (weighted mean of Kα1 and Kα2). Input: a crystal structure in Alexandria, relaxed with GGA-PBE.

Top 10 peaks for 10° ≤ 2θ ≤ 80°, low angle first:
| h k l | 2θ/deg | I (rel.) |
| --- | --- | --- |
| 1 1 0 | 28.04 | 100.0 |
| 1 1 -1 | 30.56 | 48.8 |
| 1 1 1 | 31.92 | 68.8 |
| 1 0 -2 | 32.67 | 47.7 |
| 0 1 2 | 33.73 | 73.8 |
| 0 2 0 | 39.68 | 50.1 |
| 2 0 0 | 40.47 | 42.0 |
| 0 1 3 | 46.11 | 26.9 |
| 2 1 -2 | 51.90 | 27.2 |
| 2 2 0 | 57.96 | 28.2 |

Cell and atoms:
```
data_PrScCo
_space_group_name_H-M_alt 'P 1 21/m 1'
_space_group_IT_number 11
_cell_length_a 4.471
_cell_length_b 4.543
_cell_length_c 6.572
_cell_angle_alpha 90.00
_cell_angle_beta 94.34
_cell_angle_gamma 90.00
loop_
_space_group_symop_operation_xyz
'x,y,z'
'-x,-y,-z'
'-x,y+1/2,-z'
'x,-y+1/2,z'
loop_
_atom_site_label
_atom_site_type_symbol
_atom_site_fract_x
_atom_site_fract_y
_atom_site_fract_z
Pr1 Pr 0.242 0.250 0.383
Sc1 Sc 0.259 0.750 0.003
Co1 Co 0.196 0.250 0.786
```

***

Record 5
# Li2Ga2Cu5Au3
Calculated XRD peak list, Cu Kα (weighted mean of Kα1 and Kα2). Input: a crystal structure in Alexandria, relaxed with GGA-PBE.

Top 10 peaks for 10° ≤ 2θ ≤ 80°, low angle first:
| h k l | 2θ/deg | I (rel.) |
| --- | --- | --- |
| 0 0 6 | 18.88 | 35.1 |
| 1 0 1 | 24.92 | 16.4 |
| 1 0 5 | 29.42 | 55.0 |
| 1 1 0 | 35.23 | 23.5 |
| 0 0 12 | 38.30 | 14.4 |
| 1 1 6 | 40.27 | 100.0 |
| 1 0 11 | 43.31 | 37.6 |
| 2 0 0 | 50.68 | 33.8 |
| 2 1 5 | 59.69 | 15.5 |
| 2 1 11 | 68.82 | 19.3 |

Cell and atoms:
```
data_Li2Ga2Cu5Au3
_space_group_name_H-M_alt 'I 4/m m m'
_space_group_IT_number 139
_space_group_name_Hall '-I 4 2'
_cell_length_a 3.603
_cell_length_b 3.603
_cell_length_c 28.204
_cell_angle_alpha 90.00
_cell_angle_beta 90.00
_cell_angle_gamma 90.00
loop_
_atom_site_label
_atom_site_type_symbol
_atom_site_fract_x
_atom_site_fract_y
_atom_site_fract_z
Li1 Li 0.000 0.000 0.228
Ga1 Ga 0.000 0.000 0.137
Cu1 Cu 0.000 0.000 0.000
Cu2 Cu 0.000 0.500 0.072
Au1 Au 0.000 0.000 0.325
Au2 Au 0.000 0.000 0.500
```

***

Record 6
# La3Pm3Sm2
Calculated XRD peak list, Cu Kα (weighted mean of Kα1 and Kα2). Input: a crystal structure in Alexandria, relaxed with GGA-PBE.

Top 10 peaks for 10° ≤ 2θ ≤ 80°, low angle first:
| h k l | 2θ/deg | I (rel.) |
| --- | --- | --- |
| 1 -1 2 | 29.70 | 100.0 |
| 2 0 -1 | 29.81 | 33.0 |
| 1 1 1 | 34.46 | 67.5 |
| 0 0 4 | 49.45 | 24.3 |
| 3 -1 1 | 49.60 | 24.1 |
| 2 0 3 | 58.76 | 29.0 |
| 3 1 0 | 58.88 | 24.0 |
| 3 1 -4 | 59.01 | 4.8 |
| 2 -2 4 | 61.66 | 12.5 |
| 2 2 2 | 72.60 | 5.1 |

Cell and atoms:
```
data_La3Pm3Sm2
_space_group_name_H-M_alt 'P -1'
_space_group_IT_number 2
_cell_length_a 6.364
_cell_length_b 6.383
_cell_length_c 8.233
_cell_angle_alpha 104.91
_cell_angle_beta 104.78
_cell_angle_gamma 109.61
loop_
_space_group_symop_operation_xyz
'x,y,z'
'-x,-y,-z'
loop_
_atom_site_label
_atom_site_type_symbol
_atom_site_fract_x
_atom_site_fract_y
_atom_site_fract_z
La1 La 0.000 0.000 0.000
La2 La 0.125 0.625 0.250
Pm1 Pm 0.374 0.874 0.749
Pm2 Pm 0.500 0.500 0.000
Sm1 Sm 0.251 0.250 0.500
```